Ac8Ge3: computed X-ray powder pattern (copper Kα), based on the GGA-PBE geometry in Alexandria.
Neutral-atom scattering factors, no anomalous dispersion.

Crystal structure
```
data_Ac8Ge3
_chemical_formula_sum 'Ac24 Ge9'
_space_group_name_H-M_alt 'R -3'
_space_group_IT_number 148
_space_group_name_Hall '-R 3'
_cell_length_a 10.7200
_cell_length_b 10.7200
_cell_length_c 13.3578
_cell_angle_alpha 90.00
_cell_angle_beta 90.00
_cell_angle_gamma 120.00
loop_
_atom_site_label
_atom_site_type_symbol
_atom_site_fract_x
_atom_site_fract_y
_atom_site_fract_z
Ac1 Ac 0.0000 0.0000 0.1532
Ac2 Ac 0.0425 0.2591 0.6152
Ge1 Ge 0.0000 0.5000 0.5000
```

Principal peaks in the range 10° ≤ 2θ ≤ 90°, in order of falling intensity:
2θ (°), Rel. int., index
26.26, 1000, 2 1 1
26.02, 608, 2 -1 3
28.74, 440, 1 2 2
44.70, 403, 1 4 0
28.40, 296, 1 0 4
44.43, 195, 1 3 4
39.24, 185, 4 -2 3
44.04, 150, 1 1 6
63.67, 123, 0 6 3
23.34, 106, 2 0 2